The following is a theoretical XRD peak list of Cs4Cr3InF12. It was derived from a DFT-relaxed cell (PBE+U, Alexandria), using Cu Kα, 1.54184 Å.
No peak broadening, texture or thermal motion is included.

Structural model:
```
Cs4Cr3InF12
1.0
-4.497 4.497 4.497
4.497 -4.497 4.497
4.497 4.497 -4.497
Cs Cr In F
4 3 1 12
Direct
0.000 0.000 0.500
0.000 0.500 0.000
0.500 0.000 0.000
0.500 0.500 0.500
0.000 0.500 0.500
0.500 0.000 0.500
0.500 0.500 0.000
0.000 0.000 0.000
0.000 0.284 0.284
0.000 0.716 0.716
0.250 0.500 0.750
0.250 0.750 0.500
0.284 0.000 0.284
0.284 0.284 0.000
0.500 0.250 0.750
0.500 0.750 0.250
0.716 0.000 0.716
0.716 0.716 0.000
0.750 0.250 0.500
0.750 0.500 0.250
```

The 6 most intense peaks (2θ from 10° to 90°), by angle:
Position (°2θ), intensity
28.06, 100
40.11, 37
49.66, 39
58.02, 22
65.66, 18
79.81, 21